1.
The following is a calculated powder XRD pattern of SmRe2. It was derived from a crystal structure in the Materials Project, relaxed with PBE, using Cu Kα, 1.54184 Å.
Kinematic intensities with the Lorentz-polarization factor, no thermal factor.

Cell and atoms:
```
SmRe2
1.0
5.4903 0.0000 0.0000
-2.7451 4.7547 0.0000
0.0000 0.0000 8.9307
Sm Re
4 8
direct
0.3333 0.6667 0.0620 Sm
0.3333 0.6667 0.4380 Sm
0.6667 0.3333 0.5620 Sm
0.6667 0.3333 0.9380 Sm
0.0000 0.0000 0.0000 Re
0.0000 0.0000 0.5000 Re
0.1707 0.3414 0.7500 Re
0.1707 0.8293 0.7500 Re
0.3414 0.1707 0.2500 Re
0.6586 0.8293 0.7500 Re
0.8293 0.1707 0.2500 Re
0.8293 0.6586 0.2500 Re
```

Main lines, by angle (5 to 70 degrees two-theta):
2θ (°)  I/Imax
32.62  21
35.58  61
38.50  100
39.21  93
40.40  24
43.11  27
44.85  13
60.14  23
62.15  25
65.35  33
66.83  11
68.34  30

***

2.
The following is a calculated powder XRD pattern of MgAlSi4O15. It was derived from a crystal structure in the Materials Project, relaxed with PBE, using Cu Kα, 1.54184 Å.
Kinematic intensities with the Lorentz-polarization factor, no thermal factor.

Cell and atoms:
```
MgAlSi4O15
1.0
6.8026 -8.8243 0.0000
6.8026 8.8243 0.0000
-0.8740 0.0000 5.2114
Mg Al Si O
2 2 8 30
direct
0.1111 0.8889 0.0000 Mg
0.8889 0.1111 0.0000 Mg
0.1655 0.8345 0.5000 Al
0.8345 0.1655 0.5000 Al
0.0417 0.3789 0.8847 Si
0.1146 0.2942 0.3877 Si
0.2942 0.1146 0.3877 Si
0.3789 0.0417 0.8847 Si
0.6211 0.9583 0.1153 Si
0.7058 0.8854 0.6123 Si
0.8854 0.7058 0.6123 Si
0.9583 0.6211 0.1153 Si
0.0000 0.5000 0.0000 O
0.0274 0.8011 0.6587 O
0.0421 0.0421 0.9433 O
0.0827 0.7406 0.1951 O
0.1152 0.3997 0.6307 O
0.1364 0.3505 0.1170 O
0.1989 0.9726 0.3413 O
0.2211 0.2211 0.4556 O
0.2455 0.6783 0.5587 O
0.2594 0.9173 0.8049 O
0.3217 0.7545 0.4413 O
0.3505 0.1364 0.1170 O
0.3828 0.6172 0.0000 O
0.3997 0.1152 0.6307 O
0.4085 0.5915 0.5000 O
0.5000 0.0000 0.0000 O
0.5915 0.4085 0.5000 O
0.6003 0.8848 0.3693 O
0.6172 0.3828 0.0000 O
0.6495 0.8636 0.8830 O
0.6783 0.2455 0.5587 O
0.7406 0.0827 0.1951 O
0.7545 0.3217 0.4413 O
0.7789 0.7789 0.5444 O
0.8011 0.0274 0.6587 O
0.8636 0.6495 0.8830 O
0.8848 0.6003 0.3693 O
0.9173 0.2594 0.8049 O
0.9579 0.9579 0.0567 O
0.9726 0.1989 0.3413 O
```

Main lines, by angle (5 to 70 degrees two-theta):
2θ (°)  I/Imax
8.28  100
10.02  6
16.45  8
20.13  30
20.48  7
22.21  33
22.94  6
25.40  7
26.57  28
31.94  11
34.40  6
40.16  7

***

3.
The following is a calculated powder XRD pattern of BaSrPb6. It was derived from a crystal structure in the Materials Project, relaxed with PBE, using Cu Kα, 1.54184 Å.
Kinematic intensities with the Lorentz-polarization factor, no thermal factor.

Cell and atoms:
```
BaSrPb6
1.0
7.2636 0.0000 0.0000
-3.6318 6.2905 0.0000
0.0000 0.0000 17.5498
Ba Sr Pb
3 3 18
direct
0.0000 0.0000 0.0000 Ba
0.0000 0.0000 0.5001 Ba
0.6667 0.3333 0.1612 Ba
0.3333 0.6667 0.3386 Sr
0.3333 0.6667 0.6615 Sr
0.6667 0.3333 0.8388 Sr
0.0346 0.5173 0.9992 Pb
0.1672 0.3344 0.8304 Pb
0.1673 0.3346 0.1697 Pb
0.1673 0.8327 0.1697 Pb
0.1672 0.8328 0.8304 Pb
0.3321 0.1660 0.3309 Pb
0.3342 0.1671 0.6699 Pb
0.4827 0.5173 0.9992 Pb
0.4827 0.9654 0.9992 Pb
0.5164 0.0327 0.5002 Pb
0.5164 0.4836 0.5002 Pb
0.6654 0.8327 0.1697 Pb
0.6656 0.8328 0.8304 Pb
0.8329 0.1671 0.6699 Pb
0.8329 0.6658 0.6699 Pb
0.8340 0.1660 0.3309 Pb
0.8340 0.6679 0.3309 Pb
0.9673 0.4836 0.5002 Pb
```

Main lines, by angle (5 to 70 degrees two-theta):
2θ (°)  I/Imax
28.84  32
30.18  93
30.56  59
32.32  100
35.11  58
38.43  19
50.24  43
50.74  25
55.44  21
59.74  13
59.96  50
61.01  16

***

4.
The following is a calculated powder XRD pattern of SrN. It was derived from a crystal structure in the Materials Project, relaxed with PBE, using Cu Kα, 1.54184 Å.
Kinematic intensities with the Lorentz-polarization factor, no thermal factor.

Cell and atoms:
```
SrN
1.0
7.5261 0.0000 0.0000
0.0000 3.8140 0.0000
0.0000 0.0000 5.4610
Sr N
4 4
direct
0.1263 0.2500 0.2422 Sr
0.3737 0.7500 0.7422 Sr
0.6263 0.2500 0.2578 Sr
0.8737 0.7500 0.7578 Sr
0.1228 0.2500 0.7356 N
0.3772 0.7500 0.2356 N
0.6228 0.2500 0.7644 N
0.8772 0.7500 0.2644 N
```

Main lines, by angle (5 to 70 degrees two-theta):
2θ (°)  I/Imax
28.55  79
28.81  77
32.80  52
33.45  100
47.55  70
47.69  17
48.38  17
55.97  13
56.68  25
57.13  24
59.09  18
59.68  17

***

5.
The following is a calculated powder XRD pattern of ThTc3. It was derived from a crystal structure in the Materials Project, relaxed with PBE, using Cu Kα, 1.54184 Å.
Kinematic intensities with the Lorentz-polarization factor, no thermal factor.

Cell and atoms:
```
ThTc3
1.0
4.4915 0.0000 0.0000
0.0000 4.4915 0.0000
0.0000 0.0000 7.0917
Th Tc
2 6
direct
0.0000 0.0000 0.0000 Th
0.5000 0.5000 0.5000 Th
0.0000 0.0000 0.5000 Tc
0.0000 0.5000 0.2500 Tc
0.0000 0.5000 0.7500 Tc
0.5000 0.0000 0.2500 Tc
0.5000 0.0000 0.7500 Tc
0.5000 0.5000 0.0000 Tc
```

Main lines, by angle (5 to 70 degrees two-theta):
2θ (°)  I/Imax
23.44  18
25.11  4
28.10  6
38.04  100
40.15  43
43.25  4
47.02  6
47.95  3
51.55  10
58.09  15
60.48  3
67.28  19

***

6.
The following is a calculated powder XRD pattern of Hg. It was derived from a crystal structure in the Materials Project, relaxed with PBE, using Cu Kα, 1.54184 Å.
Kinematic intensities with the Lorentz-polarization factor, no thermal factor.

Cell and atoms:
```
Hg
1.0
8.6099 0.0000 0.0000
0.0000 8.6099 0.0000
0.0000 0.0000 8.6099
Hg
20
direct
0.0451 0.1250 0.7951 Hg
0.0609 0.9391 0.4391 Hg
0.1250 0.7951 0.0451 Hg
0.1891 0.1891 0.1891 Hg
0.2049 0.5451 0.3750 Hg
0.2951 0.4549 0.8750 Hg
0.3109 0.8109 0.6891 Hg
0.3750 0.2049 0.5451 Hg
0.4391 0.0609 0.9391 Hg
0.4549 0.8750 0.2951 Hg
0.5451 0.3750 0.2049 Hg
0.5609 0.5609 0.5609 Hg
0.6250 0.7049 0.9549 Hg
0.6891 0.3109 0.8109 Hg
0.7049 0.9549 0.6250 Hg
0.7951 0.0451 0.1250 Hg
0.8109 0.6891 0.3109 Hg
0.8750 0.2951 0.4549 Hg
0.9391 0.4391 0.0609 Hg
0.9549 0.6250 0.7049 Hg
```

Main lines, by angle (5 to 70 degrees two-theta):
2θ (°)  I/Imax
31.16  100
32.90  58
34.55  27
39.15  9
44.65  8
47.21  7
54.33  33
57.66  27
58.74  7
63.97  7
64.99  10
66.00  6

***

7.
The following is a calculated powder XRD pattern of Nb19Fe20. It was derived from a crystal structure in the Materials Project, relaxed with PBE, using Cu Kα, 1.54184 Å.
Kinematic intensities with the Lorentz-polarization factor, no thermal factor.

Cell and atoms:
```
Nb19Fe20
1.0
4.9295 0.0000 0.0000
-2.4647 4.2690 0.0000
0.0000 0.0000 26.9347
Nb Fe
19 20
direct
0.0000 0.0000 0.0000 Nb
0.0000 0.0000 0.1683 Nb
0.0000 0.0000 0.3473 Nb
0.0000 0.0000 0.4508 Nb
0.0000 0.0000 0.5492 Nb
0.0000 0.0000 0.6527 Nb
0.0000 0.0000 0.8317 Nb
0.3333 0.6667 0.0158 Nb
0.3333 0.6667 0.1186 Nb
0.3333 0.6667 0.2169 Nb
0.3333 0.6667 0.3196 Nb
0.3333 0.6667 0.5000 Nb
0.3333 0.6667 0.8315 Nb
0.6667 0.3333 0.1685 Nb
0.6667 0.3333 0.5000 Nb
0.6667 0.3333 0.6804 Nb
0.6667 0.3333 0.7831 Nb
0.6667 0.3333 0.8814 Nb
0.6667 0.3333 0.9842 Nb
0.9998 0.4999 0.4086 Fe
0.0002 0.5001 0.5914 Fe
0.1669 0.3338 0.7413 Fe
0.1669 0.8331 0.7413 Fe
0.1703 0.3407 0.9210 Fe
0.1703 0.8297 0.9210 Fe
0.3333 0.6667 0.6662 Fe
0.3338 0.1669 0.2587 Fe
0.3407 0.1703 0.0790 Fe
0.5001 0.0002 0.4086 Fe
0.4999 0.9998 0.5914 Fe
0.5001 0.4999 0.4086 Fe
0.4999 0.5001 0.5914 Fe
0.6593 0.8297 0.9210 Fe
0.6662 0.8331 0.7413 Fe
0.6667 0.3333 0.3338 Fe
0.8297 0.1703 0.0790 Fe
0.8297 0.6593 0.0790 Fe
0.8331 0.1669 0.2587 Fe
0.8331 0.6662 0.2587 Fe
```

Main lines, by angle (5 to 70 degrees two-theta):
2θ (°)  I/Imax
36.45  87
39.56  63
40.18  19
41.81  100
42.53  98
44.53  20
45.72  38
47.81  16
48.80  18
67.69  24
69.27  21
69.81  27

***

8.
The following is a calculated powder XRD pattern of RbZnF3. It was derived from a crystal structure in the Materials Project, relaxed with PBE, using Cu Kα, 1.54184 Å.
Kinematic intensities with the Lorentz-polarization factor, no thermal factor.

Cell and atoms:
```
RbZnF3
1.0
6.0155 0.0000 0.0000
-3.0077 5.2095 0.0000
0.0000 0.0000 14.7193
Rb Zn F
6 6 18
direct
0.0000 0.0000 0.2500 Rb
0.0000 0.0000 0.7500 Rb
0.3333 0.6667 0.0964 Rb
0.3333 0.6667 0.4036 Rb
0.6667 0.3333 0.5964 Rb
0.6667 0.3333 0.9036 Rb
0.0000 0.0000 0.0000 Zn
0.0000 0.0000 0.5000 Zn
0.3333 0.6667 0.6536 Zn
0.3333 0.6667 0.8464 Zn
0.6667 0.3333 0.1536 Zn
0.6667 0.3333 0.3464 Zn
0.0349 0.5174 0.7500 F
0.1655 0.3310 0.5800 F
0.1655 0.3310 0.9200 F
0.1655 0.8345 0.5800 F
0.1655 0.8345 0.9200 F
0.3310 0.1655 0.0800 F
0.3310 0.1655 0.4200 F
0.4826 0.5174 0.7500 F
0.4826 0.9651 0.7500 F
0.5174 0.0349 0.2500 F
0.5174 0.4826 0.2500 F
0.6690 0.8345 0.5800 F
0.6690 0.8345 0.9200 F
0.8345 0.1655 0.0800 F
0.8345 0.1655 0.4200 F
0.8345 0.6690 0.0800 F
0.8345 0.6690 0.4200 F
0.9651 0.4826 0.2500 F
```

Main lines, by angle (5 to 70 degrees two-theta):
2θ (°)  I/Imax
24.93  8
29.71  100
35.01  6
36.61  7
39.16  15
42.52  32
46.56  13
52.72  30
56.21  9
61.69  19
67.63  6
69.95  9

***

9.
The following is a calculated powder XRD pattern of SiO2. It was derived from a crystal structure in the Materials Project, relaxed with PBE, using Cu Kα, 1.54184 Å.
Kinematic intensities with the Lorentz-polarization factor, no thermal factor.

Cell and atoms:
```
SiO2
1.0
7.4876 0.0000 0.0000
-1.2421 11.4937 0.0000
-0.9666 -3.1142 11.2134
Si O
16 32
direct
0.0446 0.2385 0.0677 Si
0.0749 0.5408 0.7420 Si
0.2209 0.4127 0.9282 Si
0.3040 0.5593 0.3764 Si
0.3296 0.8674 0.0590 Si
0.3891 0.6404 0.1447 Si
0.4096 0.1429 0.1434 Si
0.4307 0.6389 0.6423 Si
0.5693 0.3611 0.3577 Si
0.5904 0.8571 0.8566 Si
0.6109 0.3596 0.8553 Si
0.6704 0.1326 0.9410 Si
0.6960 0.4407 0.6236 Si
0.7791 0.5873 0.0718 Si
0.9251 0.4592 0.2580 Si
0.9554 0.7615 0.9323 Si
0.0191 0.6666 0.8199 O
0.0854 0.5232 0.3656 O
0.0986 0.4478 0.8241 O
0.1068 0.3057 0.9684 O
0.1263 0.8644 0.9946 O
0.2080 0.1761 0.1162 O
0.2628 0.5685 0.6883 O
0.2691 0.5304 0.0425 O
0.3296 0.7693 0.1366 O
0.3574 0.6276 0.2764 O
0.3729 0.6492 0.5081 O
0.3954 0.0022 0.1462 O
0.3977 0.4360 0.3569 O
0.3999 0.3635 0.8756 O
0.4690 0.8331 0.9595 O
0.4918 0.7744 0.7281 O
0.5082 0.2256 0.2719 O
0.5310 0.1669 0.0405 O
0.6001 0.6365 0.1244 O
0.6023 0.5640 0.6431 O
0.6046 0.9978 0.8538 O
0.6271 0.3508 0.4919 O
0.6426 0.3724 0.7236 O
0.6704 0.2307 0.8634 O
0.7309 0.4696 0.9575 O
0.7372 0.4315 0.3117 O
0.7920 0.8239 0.8838 O
0.8737 0.1356 0.0054 O
0.8932 0.6943 0.0316 O
0.9014 0.5522 0.1759 O
0.9146 0.4768 0.6344 O
0.9809 0.3334 0.1801 O
```

Main lines, by angle (5 to 70 degrees two-theta):
2θ (°)  I/Imax
7.93  100
9.61  12
11.97  4
13.52  7
18.75  6
19.13  5
19.31  9
19.69  4
22.58  4
22.95  4
24.48  4
25.46  6

***

10.
The following is a calculated powder XRD pattern of Ho2MgS4. It was derived from a crystal structure in the Materials Project, relaxed with PBE, using Cu Kα, 1.54184 Å.
Kinematic intensities with the Lorentz-polarization factor, no thermal factor.

Cell and atoms:
```
Ho2MgS4
1.0
0.0000 5.5680 5.5680
5.5680 0.0000 5.5680
5.5680 5.5680 0.0000
Ho Mg S
4 2 8
direct
0.0000 0.0000 0.0000 Ho
0.0000 0.0000 0.5000 Ho
0.0000 0.5000 0.0000 Ho
0.5000 0.0000 0.0000 Ho
0.3750 0.3750 0.3750 Mg
0.6250 0.6250 0.6250 Mg
0.2354 0.7549 0.7549 S
0.2451 0.2451 0.2451 S
0.2451 0.2451 0.7646 S
0.2451 0.7646 0.2451 S
0.7549 0.2354 0.7549 S
0.7549 0.7549 0.2354 S
0.7549 0.7549 0.7549 S
0.7646 0.2451 0.2451 S
```

Main lines, by angle (5 to 70 degrees two-theta):
2θ (°)  I/Imax
13.77  100
26.55  93
27.75  31
32.15  83
35.13  25
42.17  39
46.11  74
48.35  26
54.67  17
57.32  20
59.26  14
64.25  22